Entry 1:
# Er4GaIr4
Computed X-ray powder pattern, CuKα. Input: a DFT-relaxed cell (GGA-PBE, Alexandria).

Main lines, most intense first (10° ≤ 2θ ≤ 90°):
two_theta, d [Å], I/Imax, (hkl)
40.3, 2.236, 1000, 2 2 -1
41.6, 2.171, 812, 1 2 -3
34.1, 2.627, 770, 0 2 1
34.3, 2.616, 638, 3 0 -2
34.5, 2.601, 515, 1 0 -4
38.8, 2.319, 490, 3 0 -4
26.9, 3.315, 475, 2 0 0
37.9, 2.375, 423, 2 1 -4
33.7, 2.662, 395, 1 1 2
34.0, 2.635, 384, 0 1 3

a b c (Å): 7.860 5.492 10.684
angles (deg): 90.00 122.49 90.00
Space group P2/c (No. 13)
Inequivalent atoms, fractional coordinates:
Er (0.185, 0.115, 0.189) x4
Er (0.252, 0.381, 0.913) x4
Ga (0.500, 0.353, 0.750) x2
Ir (0.136, 0.374, 0.604) x4
Ir (0.356, 0.109, 0.506) x4

---

Entry 2:
# ErGaIr2
Computed X-ray powder pattern, CuKα. Input: a DFT-relaxed cell (GGA-PBE, Alexandria).

Main lines, most intense first (10° ≤ 2θ ≤ 90°):
two_theta, d [Å], I/Imax, (hkl)
39.7, 2.272, 1000, 1 0 2
38.9, 2.316, 570, 1 1 0
70.9, 1.328, 364, 2 1 2
56.2, 1.638, 197, 2 0 0
30.8, 2.907, 139, 1 0 1
72.5, 1.304, 135, 1 1 4
85.5, 1.136, 89, 2 0 4
27.2, 3.275, 72, 1 0 0
59.4, 1.557, 71, 1 1 3
83.5, 1.158, 64, 2 2 0

a b c (Å): 3.275 3.275 6.309
angles (deg): 90.00 90.00 90.00
Space group P4/mmm (No. 123)
Inequivalent atoms, fractional coordinates:
Er (0.000, 0.000, 0.000) x1
Ga (0.000, 0.000, 0.500) x1
Ir (0.500, 0.500, 0.278) x2

---

Entry 3:
# ErGa9Ir2
Computed X-ray powder pattern, CuKα. Input: a DFT-relaxed cell (GGA-PBE, Alexandria).

Main lines, most intense first (10° ≤ 2θ ≤ 90°):
two_theta, d [Å], I/Imax, (hkl)
32.0, 2.795, 1000, 1 1 -2
42.3, 2.135, 839, 3 1 0
37.5, 2.397, 734, -1 2 2
41.2, 2.193, 661, 2 0 -2
32.3, 2.769, 595, 1 1 3
38.2, 2.356, 580, 2 2 3
43.1, 2.098, 541, 1 -3 1
14.3, 6.211, 496, 1 0 0
37.7, 2.384, 492, 2 -1 2
32.2, 2.781, 491, 1 -2 1

a b c (Å): 6.722 8.319 8.387
angles (deg): 75.65 72.48 72.33
Space group P-1 (No. 2)
Inequivalent atoms, fractional coordinates:
Er (0.210, 0.205, 0.202) x2
Ga (0.078, 0.032, 0.671) x2
Ga (0.079, 0.668, 0.035) x2
Ga (0.217, 0.311, 0.558) x2
Ga (0.218, 0.561, 0.311) x2
Ga (0.277, 0.432, 0.814) x2
Ga (0.278, 0.818, 0.430) x2
Ga (0.369, 0.071, 0.819) x2
Ga (0.369, 0.820, 0.071) x2
Ga (0.423, 0.719, 0.719) x2
Ir (0.000, 0.000, 0.000) x1
Ir (0.500, 0.000, 0.500) x1
Ir (0.500, 0.500, 0.000) x1
Ir (0.500, 0.500, 0.500) x1

---

Entry 4:
# Er3Ga9Ir2
Computed X-ray powder pattern, CuKα. Input: a DFT-relaxed cell (GGA-PBE, Alexandria).

Main lines, most intense first (10° ≤ 2θ ≤ 90°):
two_theta, d [Å], I/Imax, (hkl)
35.8, 2.509, 1000, 1 2 3
42.4, 2.132, 423, 2 0 0
38.3, 2.349, 306, 1 3 2
37.3, 2.414, 253, 1 1 4
56.7, 1.624, 157, 2 3 3
70.2, 1.341, 151, 1 4 7
22.9, 3.890, 148, 1 1 0
44.1, 2.052, 140, 0 0 6
44.3, 2.046, 135, 1 4 1
60.2, 1.538, 119, 0 3 7

a b c (Å): 4.265 9.497 12.309
angles (deg): 90.00 90.00 90.00
Space group Immm (No. 71)
Inequivalent atoms, fractional coordinates:
Er (0.000, 0.000, 0.000) x2
Er (0.000, 0.000, 0.298) x4
Ga (0.000, 0.282, 0.135) x8
Ga (0.000, 0.365, 0.346) x8
Ga (0.000, 0.500, 0.000) x2
Ir (0.000, 0.177, 0.500) x4